For Pb4W6O19, DFT lattice parameters and positions (PBE+U) gives the simulated powder diffractogram in this record (Cu Kα X-rays).
Intensities are scaled so that the largest is 100.

Principal peaks in the range 15° ≤ 2θ ≤ 90°, most intense first:
two_theta	I_rel
29.4	100
34.9	57
22.7	53
48.3	50
57.5	27
32.3	21
52.1	21
87.2	19
18.5	17
65.9	17

a = 8.325 Å, b = 8.325 Å, c = 8.325 Å
α = 109.47°, β = 109.47°, γ = 109.47°
Positions (direct):
Pb 0.000 0.000 0.289
Pb 0.000 0.289 0.000
Pb 0.289 0.000 0.000
Pb 0.711 0.711 0.711
W 0.159 0.500 0.659
W 0.341 0.841 0.500
W 0.500 0.341 0.841
W 0.500 0.659 0.159
W 0.659 0.159 0.500
W 0.841 0.500 0.341
O 0.000 0.000 0.000
O 0.000 0.358 0.358
O 0.000 0.642 0.642
O 0.042 0.703 0.340
O 0.297 0.338 0.637
O 0.299 0.662 0.958
O 0.338 0.637 0.297
O 0.340 0.042 0.703
O 0.358 0.000 0.358
O 0.358 0.358 0.000
O 0.363 0.701 0.660
O 0.637 0.297 0.338
O 0.642 0.000 0.642
O 0.642 0.642 0.000
O 0.660 0.363 0.701
O 0.662 0.958 0.299
O 0.701 0.660 0.363
O 0.703 0.340 0.042
O 0.958 0.299 0.662